Calculated powder X-ray diffraction pattern of Li3Ho for CuKα, from a cell relaxed with PBE.

Structure:
Lattice parameters (Å, degrees): 6.5177 6.5177 5.0188 90.00 90.00 120.00
Atoms (fractional coordinates):
Li: 0.1505 0.3011 0.2500
Li: 0.1505 0.8495 0.2500
Li: 0.3011 0.1505 0.7500
Li: 0.6989 0.8495 0.2500
Li: 0.8495 0.1505 0.7500
Li: 0.8495 0.6989 0.7500
Ho: 0.3333 0.6667 0.7500
Ho: 0.6667 0.3333 0.2500

The 8 most intense peaks (5 to 70 degrees two-theta), low angle first:
Position (°2θ)  I/Imax
15.7  40
23.7  100
27.4  46
31.7  10
36.5  41
45.6  23
46.2  33
62.1  14



Calculated powder X-ray diffraction pattern of HoAgGe for CuKα, from a cell relaxed with PBE.

Structure:
Lattice parameters (Å, degrees): 7.3431 7.3431 4.1136 90.00 90.00 120.00
Atoms (fractional coordinates):
Ho: 0.0000 0.6033 0.0000
Ho: 0.3967 0.3967 0.0000
Ho: 0.6033 0.0000 0.0000
Ag: 0.0000 0.0000 0.0000
Ag: 0.3333 0.6667 0.5000
Ag: 0.6667 0.3333 0.5000
Ge: 0.0000 0.2678 0.5000
Ge: 0.2678 0.0000 0.5000
Ge: 0.7322 0.7322 0.5000

The 8 most intense peaks (5 to 70 degrees two-theta), low angle first:
Position (°2θ)  I/Imax
32.7  100
35.7  72
37.4  26
42.7  41
43.6  20
44.0  25
63.0  25
68.2  25